Record 1
NaLi6Cd6: theoretical PXRD pattern (Cu Ka), based on a DFT-relaxed cell (GGA-PBE, Alexandria).

Crystal structure
```
NaLi6Cd6
1.0
5.7973 0.0000 0.0000
-2.8986 5.0206 0.0000
0.0000 0.0000 9.8067
Na Li Cd
1 6 6
direct
0.0000 0.0000 0.0000
0.0000 0.0000 0.3420
0.0000 0.0000 0.6580
0.3333 0.6667 0.0000
0.3333 0.6667 0.5000
0.6667 0.3333 0.0000
0.6667 0.3333 0.5000
0.0000 0.5000 0.2470
0.0000 0.5000 0.7530
0.5000 0.0000 0.2470
0.5000 0.0000 0.7530
0.5000 0.5000 0.2470
0.5000 0.5000 0.7530
```

Principal peaks in the range 2θ from 10° to 90°, by angle:
2θ/deg	d [Å]	I_rel
17.7	5.021	32
18.1	4.903	100
25.4	3.508	37
35.8	2.510	66
40.4	2.234	85
52.1	1.754	41



Record 2
NaLi5Cd: theoretical PXRD pattern (Cu Ka), based on a DFT-relaxed cell (GGA-PBE, Alexandria).

Crystal structure
```
NaLi5Cd
1.0
4.1879 0.0000 0.0000
0.0000 4.1879 0.0000
0.0000 0.0000 9.2830
Na Li Cd
1 5 1
direct
0.0000 0.0000 0.0000
0.0000 0.0000 0.5000
0.0000 0.5000 0.2768
0.0000 0.5000 0.7232
0.5000 0.0000 0.2768
0.5000 0.0000 0.7232
0.5000 0.5000 0.5000
```

Principal peaks in the range 2θ from 10° to 90°, by angle:
2θ/deg	d [Å]	I_rel
19.1	4.642	34
21.2	4.188	25
23.3	3.817	100
36.0	2.496	48
36.1	2.489	32
49.7	1.836	25



Record 3
NaLi2CdPb: theoretical PXRD pattern (Cu Ka), based on a DFT-relaxed cell (GGA-PBE, Alexandria).

Crystal structure
```
NaLi2CdPb
1.0
2.5150 -5.5014 0.0000
2.5150 5.5014 0.0000
0.0000 0.0000 8.6873
Na Li Cd Pb
2 4 2 2
direct
0.0000 0.0000 0.0000
0.0000 0.0000 0.5000
0.2974 0.7026 0.5699
0.2974 0.7026 0.9301
0.7026 0.2974 0.0699
0.7026 0.2974 0.4301
0.4824 0.5176 0.2500
0.5176 0.4824 0.7500
0.2118 0.7882 0.2500
0.7882 0.2118 0.7500
```

Principal peaks in the range 2θ from 10° to 90°, by angle:
2θ/deg	d [Å]	I_rel
20.4	4.344	58
22.0	4.048	100
30.2	2.963	24
35.7	2.515	22
36.7	2.448	80
41.5	2.175	33



Record 4
NaLiTlCd: theoretical PXRD pattern (Cu Ka), based on a DFT-relaxed cell (GGA-PBE, Alexandria).

Crystal structure
```
NaLiTlCd
1.0
3.4331 0.0000 0.0000
0.0000 3.4331 0.0000
0.0000 0.0000 7.8977
Na Li Tl Cd
1 1 1 1
direct
0.0000 0.0000 0.0000
0.0000 0.0000 0.4822
0.5000 0.5000 0.7065
0.5000 0.5000 0.2844
```

Principal peaks in the range 2θ from 10° to 90°, by angle:
2θ/deg	d [Å]	I_rel
11.2	7.898	34
22.5	3.949	49
26.0	3.433	89
34.6	2.591	100
37.0	2.428	51
43.8	2.068	34



Record 5
LiNd6Cd5: theoretical PXRD pattern (Cu Ka), based on a DFT-relaxed cell (GGA-PBE, Alexandria).

Crystal structure
```
LiNd6Cd5
1.0
5.4318 0.0000 0.0000
0.0000 7.7361 0.0000
-2.6985 0.0000 8.1470
Li Nd Cd
1 6 5
direct
0.0000 0.0000 0.0000
0.1652 0.2491 0.3342
0.1652 0.7509 0.3342
0.5000 0.2512 0.0000
0.5000 0.7488 0.0000
0.8348 0.2491 0.6658
0.8348 0.7509 0.6658
0.0000 0.5000 0.0000
0.3363 0.5000 0.6676
0.3391 0.0000 0.6736
0.6609 0.0000 0.3264
0.6637 0.5000 0.3324
```

Principal peaks in the range 2θ from 10° to 90°, by angle:
2θ/deg	d [Å]	I_rel
32.9	2.725	100
33.0	2.716	49
47.0	1.934	9
58.6	1.575	19
58.8	1.570	37
68.9	1.363	11



Record 6
LiNd2Cd8: theoretical PXRD pattern (Cu Ka), based on a DFT-relaxed cell (GGA-PBE, Alexandria).

Crystal structure
```
LiNd2Cd8
1.0
5.0123 0.0000 0.0000
-0.0227 6.9162 0.0000
-2.4583 -2.2892 7.5448
Li Nd Cd
1 2 8
direct
0.0000 0.0000 0.0000
0.2853 0.3360 0.5714
0.7147 0.6640 0.4286
0.0922 0.4212 0.1806
0.1504 0.8732 0.2980
0.3478 0.8664 0.7002
0.4884 0.2725 0.9736
0.5116 0.7275 0.0264
0.6522 0.1336 0.2998
0.8496 0.1268 0.7020
0.9078 0.5788 0.8194
```

Principal peaks in the range 2θ from 10° to 90°, by angle:
2θ/deg	d [Å]	I_rel
30.3	2.948	26
33.8	2.649	37
34.0	2.634	37
34.4	2.607	100
35.8	2.506	54
41.0	2.204	21



Record 7
Li4Nd3Cd4: theoretical PXRD pattern (Cu Ka), based on a DFT-relaxed cell (GGA-PBE, Alexandria).

Crystal structure
```
Li4Nd3Cd4
1.0
3.3371 0.0000 0.0000
-0.0032 5.0199 0.0000
-1.6641 -2.4969 15.8451
Li Nd Cd
4 3 4
direct
0.0925 0.0934 0.1860
0.2400 0.7395 0.4794
0.7600 0.2605 0.5206
0.9075 0.9066 0.8140
0.3585 0.3575 0.7166
0.5000 0.0000 0.0000
0.6415 0.6425 0.2834
0.0490 0.5495 0.0989
0.1856 0.1865 0.3718
0.8144 0.8135 0.6282
0.9510 0.4505 0.9011
```

Principal peaks in the range 2θ from 10° to 90°, by angle:
2θ/deg	d [Å]	I_rel
16.8	5.282	69
22.6	3.935	73
32.7	2.737	98
33.4	2.686	67
34.2	2.622	78
35.9	2.499	100



Record 8
Li4NdCd8: theoretical PXRD pattern (Cu Ka), based on a DFT-relaxed cell (GGA-PBE, Alexandria).

Crystal structure
```
Li4NdCd8
1.0
-5.0238 5.0238 2.6439
5.0238 -5.0238 2.6439
5.0238 5.0238 -2.6439
Li Nd Cd
4 1 8
direct
0.0000 0.0000 0.5000
0.0000 0.5000 0.0000
0.5000 0.0000 0.0000
0.5000 0.5000 0.5000
0.0000 0.0000 0.0000
0.0000 0.3497 0.3497
0.0000 0.6503 0.6503
0.2865 0.5000 0.7865
0.3497 0.0000 0.3497
0.5000 0.2865 0.7865
0.5000 0.7135 0.2135
0.6503 0.0000 0.6503
0.7135 0.5000 0.2135
```

Principal peaks in the range 2θ from 10° to 90°, by angle:
2θ/deg	d [Å]	I_rel
17.7	5.024	34
25.1	3.552	25
31.6	2.829	46
33.9	2.644	40
36.4	2.465	100
40.8	2.213	24



Record 9
Li3NdCd9: theoretical PXRD pattern (Cu Ka), based on a DFT-relaxed cell (GGA-PBE, Alexandria).

Crystal structure
```
Li3NdCd9
1.0
2.7083 -7.1103 0.0000
2.7083 7.1103 0.0000
-2.6994 0.0000 7.0908
Li Nd Cd
3 1 9
direct
0.0000 0.0000 0.0000
0.0000 0.5000 0.5000
0.5000 0.0000 0.5000
0.0000 0.0000 0.5000
0.0126 0.6585 0.1588
0.2796 0.4993 0.2908
0.3415 0.9874 0.8412
0.4993 0.2796 0.2908
0.5000 0.5000 0.0000
0.5007 0.7204 0.7092
0.6585 0.0126 0.1588
0.7204 0.5007 0.7092
0.9874 0.3415 0.8412
```

Principal peaks in the range 2θ from 10° to 90°, by angle:
2θ/deg	d [Å]	I_rel
31.4	2.848	47
33.1	2.708	33
35.8	2.510	30
36.3	2.477	100
40.6	2.221	24
42.0	2.153	24



Record 10
LiNdCd17: theoretical PXRD pattern (Cu Ka), based on a DFT-relaxed cell (GGA-PBE, Alexandria).

Crystal structure
```
LiNdCd17
1.0
5.0563 2.9192 5.0424
-5.0563 2.9192 5.0424
0.0000 -5.8385 5.0424
Li Nd Cd
1 1 17
direct
0.0000 0.0000 0.0000
0.2639 0.2639 0.2639
0.0864 0.6003 0.6003
0.2461 0.2461 0.7415
0.2461 0.7415 0.2461
0.2882 0.5999 0.8987
0.2882 0.8987 0.5999
0.4179 0.9599 0.9599
0.4940 0.4940 0.4940
0.6003 0.0864 0.6003
0.5999 0.2882 0.8987
0.6003 0.6003 0.0864
0.5999 0.8987 0.2882
0.6955 0.6955 0.6955
0.7415 0.2461 0.2461
0.8987 0.2882 0.5999
0.8987 0.5999 0.2882
0.9599 0.4179 0.9599
0.9599 0.9599 0.4179
```

Principal peaks in the range 2θ from 10° to 90°, by angle:
2θ/deg	d [Å]	I_rel
17.5	5.054	18
30.6	2.919	20
35.5	2.527	100
35.6	2.521	23
36.1	2.490	24
39.9	2.259	81



Record 11
Li5Nd2Cd5: theoretical PXRD pattern (Cu Ka), based on a DFT-relaxed cell (GGA-PBE, Alexandria).

Crystal structure
```
Li5Nd2Cd5
1.0
4.8447 0.0000 0.0000
0.0000 5.5110 0.0000
0.0000 0.0000 10.0297
Li Nd Cd
5 2 5
direct
0.0000 0.0000 0.0000
0.0000 0.2483 0.2527
0.0000 0.2483 0.7473
0.0000 0.7517 0.2527
0.0000 0.7517 0.7473
0.5000 0.0000 0.5000
0.5000 0.5000 0.0000
0.0000 0.5000 0.5000
0.5000 0.0000 0.1662
0.5000 0.0000 0.8338
0.5000 0.5000 0.3221
0.5000 0.5000 0.6779
```

Principal peaks in the range 2θ from 10° to 90°, by angle:
2θ/deg	d [Å]	I_rel
18.3	4.845	71
31.3	2.858	40
32.5	2.755	34
36.5	2.462	100
37.1	2.422	25
37.6	2.395	26



Record 12
Li2CdNi: theoretical PXRD pattern (Cu Ka), based on a DFT-relaxed cell (GGA-PBE, Alexandria).

Crystal structure
```
Li2CdNi
1.0
3.1310 0.0000 0.0000
0.0000 3.1310 0.0000
0.0000 0.0000 6.2712
Li Cd Ni
2 1 1
direct
0.0000 0.0000 0.0000
0.5000 0.5000 0.2638
0.5000 0.5000 0.7129
0.0000 0.0000 0.4632
```

Principal peaks in the range 2θ from 10° to 90°, by angle:
2θ/deg	d [Å]	I_rel
14.1	6.271	100
31.9	2.801	57
40.7	2.215	99
43.3	2.088	30
61.0	1.519	17
74.1	1.279	30